The following is a computed X-ray diffraction stick pattern of CrN2. It was derived from a cell relaxed with PBE, using Cu Kα X-rays.
Neutral-atom scattering factors, no anomalous dispersion.

Principal peaks in the range 2θ = 15–90°, by intensity:
2theta, Rel. int.
33.84, 100.0
21.96, 73.2
20.04, 49.4
25.41, 44.7
32.56, 38.5
29.91, 36.2
38.54, 22.4
40.71, 22.1

```
data_CrN2
_chemical_formula_sum 'Cr12 N24'
_symmetry_space_group_name_H-M 'P 41 21 2'
_symmetry_Int_Tables_number 92
_cell_length_a 9.9040
_cell_length_b 9.9040
_cell_length_c 9.9280
_cell_angle_alpha 90.00
_cell_angle_beta 90.00
_cell_angle_gamma 90.00
loop_
_symmetry_equiv_pos_as_xyz
'x,y,z'
'-y+1/2,x+1/2,z+1/4'
'-x,-y,z+1/2'
'y+1/2,-x+1/2,z+3/4'
'x+1/2,-y+1/2,-z+3/4'
'-y,-x,-z+1/2'
'-x+1/2,y+1/2,-z+1/4'
'y,x,-z'
loop_
_atom_site_label
_atom_site_fract_x
_atom_site_fract_y
_atom_site_fract_z
Cr1 0.0068 0.3661 0.3999
Cr2 0.1895 0.8105 0.7500
N1 0.0066 0.5607 0.0502
N2 0.0650 0.7981 0.8680
N3 0.1717 0.3214 0.3855
```